This entry pairs a crystal structure of NaAsCl6 with its computed powder X-ray diffraction pattern. Radiation: Cu Kα X-rays. Structure: a crystal structure in Alexandria, relaxed with GGA-PBE.

Atomic structure:
```
NaAsCl6
1.0
8.108 0.000 0.000
0.000 11.639 0.000
-3.946 0.000 5.644
Na As Cl
2 2 12
Direct
0.000 0.000 0.000
0.500 0.500 0.000
0.000 0.500 0.500
0.500 0.000 0.500
0.145 0.361 0.788
0.145 0.639 0.788
0.220 0.000 0.506
0.280 0.500 0.494
0.355 0.139 0.212
0.355 0.861 0.212
0.645 0.139 0.788
0.645 0.861 0.788
0.720 0.500 0.506
0.780 0.000 0.494
0.855 0.361 0.212
0.855 0.639 0.212
```

Top 10 peaks for 2θ from 10° to 80°, in order of rising 2θ:
15.22 deg, 5.819 Å, I 572, hkl 0 2 0
15.35 deg, 5.771 Å, I 473, hkl 1 1 0
15.57 deg, 5.692 Å, I 1000, hkl 1 1 -1
15.70 deg, 5.644 Å, I 198, hkl 0 0 1
21.93 deg, 4.052 Å, I 561, hkl 2 0 -1
34.86 deg, 2.574 Å, I 498, hkl 1 3 1
35.16 deg, 2.553 Å, I 269, hkl 3 1 -2
35.35 deg, 2.539 Å, I 225, hkl 0 2 2
44.73 deg, 2.026 Å, I 365, hkl 4 0 -2
47.95 deg, 1.897 Å, I 157, hkl 3 3 -3